The following is a simulated powder X-ray diffraction pattern of Sr3BiSb. It was derived from a crystal structure in Alexandria, relaxed with PBE, using Cu Kα, 1.54184 Å.
Kinematic intensities with the Lorentz-polarization factor, no thermal factor.

Cell and atoms:
abc: 9.7210 9.0274 9.2838
angles: 90.00 99.25 90.00
Positions (direct):
Sr1 0.0615 0.0115 0.2199
Sr2 0.0615 0.4885 0.7199
Sr3 0.2758 0.1103 0.5906
Sr4 0.2758 0.3897 0.0906
Sr5 0.3769 0.7004 0.4849
Sr6 0.3769 0.7996 0.9849
Sr7 0.6231 0.2004 0.0151
Sr8 0.6231 0.2996 0.5151
Sr9 0.7242 0.6103 0.9094
Sr10 0.7242 0.8897 0.4094
Sr11 0.9385 0.5115 0.2801
Sr12 0.9385 0.9885 0.7801
Bi1 0.4150 0.0683 0.2643
Bi2 0.4150 0.4317 0.7643
Bi3 0.5850 0.5683 0.2357
Bi4 0.5850 0.9317 0.7357
Sb1 0.0598 0.7132 0.0151
Sb2 0.0598 0.7868 0.5151
Sb3 0.9402 0.2132 0.4849
Sb4 0.9402 0.2868 0.9849

The 12 most intense peaks (10 to 90 degrees two-theta), by angle:
- 18.50°, d 4.797, rel. 26
- 20.09°, d 4.420, rel. 32
- 24.44°, d 3.643, rel. 55
- 27.74°, d 3.215, rel. 100
- 29.76°, d 3.002, rel. 44
- 29.87°, d 2.991, rel. 37
- 30.89°, d 2.895, rel. 55
- 31.15°, d 2.871, rel. 33
- 32.22°, d 2.778, rel. 24
- 32.65°, d 2.743, rel. 42
- 33.00°, d 2.714, rel. 39
- 41.21°, d 2.191, rel. 31

---

The following is a simulated powder X-ray diffraction pattern of Sr4Bi2Sb. It was derived from a crystal structure in Alexandria, relaxed with PBE, using Cu Kα, 1.54184 Å.
Kinematic intensities with the Lorentz-polarization factor, no thermal factor.

Cell and atoms:
abc: 8.7901 8.7901 8.7901
angles: 109.65 109.65 109.11
Positions (direct):
Sr1 0.1296 0.0212 0.7493
Sr2 0.1303 0.5220 0.7507
Sr3 0.2720 0.3803 0.2507
Sr4 0.4780 0.2288 0.6083
Sr5 0.6204 0.8697 0.3917
Sr6 0.6197 0.8704 0.8917
Sr7 0.7712 0.3796 0.2493
Sr8 0.9788 0.7280 0.1083
Bi1 0.3750 0.0037 0.1287
Bi2 0.7537 0.6250 0.6287
Bi3 0.8750 0.2463 0.8713
Bi4 0.9963 0.1250 0.3713
Sb1 0.2500 0.7500 0.5000
Sb2 0.5000 0.5000 0.0000

The 12 most intense peaks (10 to 90 degrees two-theta), by angle:
- 21.44°, d 4.145, rel. 50
- 27.69°, d 3.222, rel. 44
- 27.85°, d 3.203, rel. 100
- 32.98°, d 2.716, rel. 64
- 33.08°, d 2.708, rel. 33
- 39.77°, d 2.266, rel. 29
- 41.74°, d 2.164, rel. 27
- 43.74°, d 2.070, rel. 12
- 45.52°, d 1.993, rel. 23
- 55.93°, d 1.644, rel. 35
- 58.92°, d 1.568, rel. 15
- 67.99°, d 1.379, rel. 20